Cs2Pa2S5: theoretical powder diffractogram (CuKα), based on DFT lattice parameters and positions (GGA-PBE).
Neutral-atom scattering factors, no anomalous dispersion.

Structure:
a b c (Å): 9.323 9.323 7.684
angles (deg): 90.00 90.00 48.65
Atoms (fractional coordinates):
Cs  0.207  0.207  0.000
Cs  0.293  0.293  0.500
Cs  0.707  0.707  0.500
Cs  0.793  0.793  0.000
Pa  0.161  0.839  0.661
Pa  0.339  0.661  0.161
Pa  0.661  0.339  0.839
Pa  0.839  0.161  0.339
S  0.000  0.000  0.000
S  0.043  0.756  0.357
S  0.244  0.957  0.357
S  0.256  0.543  0.857
S  0.457  0.744  0.857
S  0.500  0.500  0.500
S  0.543  0.256  0.143
S  0.744  0.457  0.143
S  0.756  0.043  0.643
S  0.957  0.244  0.643

Top 12 peaks for 15 to 90 degrees two-theta, low angle first:
- 2θ = 20.91°, d 4.248, I = 61
- 2θ = 22.68°, d 3.920, I = 59
- 2θ = 25.45°, d 3.500, I = 100
- 2θ = 26.47°, d 3.368, I = 38
- 2θ = 28.02°, d 3.185, I = 48
- 2θ = 30.43°, d 2.938, I = 57
- 2θ = 33.55°, d 2.671, I = 57
- 2θ = 37.21°, d 2.416, I = 47
- 2θ = 37.39°, d 2.405, I = 75
- 2θ = 41.32°, d 2.185, I = 32
- 2θ = 45.92°, d 1.976, I = 54
- 2θ = 53.10°, d 1.725, I = 29


CsPd3Pb5: theoretical powder diffractogram (CuKα), based on DFT lattice parameters and positions (GGA-PBE).
Neutral-atom scattering factors, no anomalous dispersion.

Structure:
a b c (Å): 5.827 5.827 8.750
angles (deg): 90.00 90.00 120.00
Atoms (fractional coordinates):
Cs  0.000  0.000  0.000
Pd  0.000  0.500  0.500
Pd  0.500  0.000  0.500
Pd  0.500  0.500  0.500
Pb  0.000  0.000  0.500
Pb  0.333  0.667  0.230
Pb  0.333  0.667  0.770
Pb  0.667  0.333  0.230
Pb  0.667  0.333  0.770

Top 12 peaks for 15 to 90 degrees two-theta, low angle first:
- 2θ = 26.97°, d 3.306, I = 83
- 2θ = 30.68°, d 2.914, I = 97
- 2θ = 37.07°, d 2.425, I = 50
- 2θ = 41.30°, d 2.186, I = 100
- 2θ = 52.31°, d 1.749, I = 60
- 2θ = 54.55°, d 1.682, I = 17
- 2θ = 63.90°, d 1.457, I = 23
- 2θ = 64.85°, d 1.438, I = 10
- 2θ = 70.65°, d 1.333, I = 25
- 2θ = 75.27°, d 1.263, I = 12
- 2θ = 78.96°, d 1.212, I = 37
- 2θ = 88.85°, d 1.101, I = 11


CsPrPbS3: theoretical powder diffractogram (CuKα), based on DFT lattice parameters and positions (GGA-PBE).
Neutral-atom scattering factors, no anomalous dispersion.

Structure:
a b c (Å): 16.179 4.230 12.483
angles (deg): 90.00 90.00 90.00
Atoms (fractional coordinates):
Cs  0.238  0.250  0.096
Cs  0.262  0.750  0.596
Cs  0.738  0.250  0.404
Cs  0.762  0.750  0.904
Pr  0.002  0.250  0.356
Pr  0.498  0.750  0.856
Pr  0.502  0.250  0.144
Pr  0.998  0.750  0.644
Pb  0.044  0.250  0.901
Pb  0.456  0.750  0.401
Pb  0.544  0.250  0.599
Pb  0.956  0.750  0.099
S  0.083  0.750  0.233
S  0.092  0.250  0.548
S  0.126  0.750  0.814
S  0.374  0.250  0.314
S  0.408  0.750  0.048
S  0.417  0.250  0.733
S  0.583  0.750  0.267
S  0.592  0.250  0.952
S  0.626  0.750  0.686
S  0.874  0.250  0.186
S  0.908  0.750  0.452
S  0.917  0.250  0.767

Top 12 peaks for 15 to 90 degrees two-theta, low angle first:
- 2θ = 21.78°, d 4.081, I = 61
- 2θ = 21.98°, d 4.045, I = 37
- 2θ = 22.87°, d 3.889, I = 25
- 2θ = 26.03°, d 3.423, I = 100
- 2θ = 28.60°, d 3.121, I = 28
- 2θ = 30.43°, d 2.937, I = 83
- 2θ = 30.83°, d 2.900, I = 27
- 2θ = 32.14°, d 2.785, I = 37
- 2θ = 35.67°, d 2.517, I = 36
- 2θ = 36.37°, d 2.470, I = 30
- 2θ = 42.75°, d 2.115, I = 27
- 2θ = 48.51°, d 1.877, I = 25


CsTbPb: theoretical powder diffractogram (CuKα), based on DFT lattice parameters and positions (GGA-PBE).
Neutral-atom scattering factors, no anomalous dispersion.

Structure:
a b c (Å): 7.876 7.876 7.876
angles (deg): 90.00 90.00 90.00
Atoms (fractional coordinates):
Cs  0.000  0.000  0.000
Cs  0.000  0.500  0.500
Cs  0.500  0.000  0.500
Cs  0.500  0.500  0.000
Tb  0.250  0.250  0.250
Tb  0.250  0.750  0.750
Tb  0.750  0.250  0.750
Tb  0.750  0.750  0.250
Pb  0.250  0.250  0.750
Pb  0.250  0.750  0.250
Pb  0.750  0.250  0.250
Pb  0.750  0.750  0.750

Top 12 peaks for 15 to 90 degrees two-theta, low angle first:
- 2θ = 19.52°, d 4.547, I = 18
- 2θ = 22.58°, d 3.938, I = 26
- 2θ = 32.14°, d 2.785, I = 100
- 2θ = 37.89°, d 2.375, I = 10
- 2θ = 39.64°, d 2.274, I = 9
- 2θ = 46.10°, d 1.969, I = 19
- 2θ = 50.51°, d 1.807, I = 4
- 2θ = 51.92°, d 1.761, I = 12
- 2θ = 57.31°, d 1.608, I = 39
- 2θ = 67.24°, d 1.392, I = 12
- 2θ = 71.93°, d 1.313, I = 6
- 2θ = 76.49°, d 1.245, I = 17


CsPd: theoretical powder diffractogram (CuKα), based on DFT lattice parameters and positions (GGA-PBE).
Neutral-atom scattering factors, no anomalous dispersion.

Structure:
a b c (Å): 3.704 3.704 5.385
angles (deg): 90.00 90.00 120.00
Atoms (fractional coordinates):
Cs  0.000  0.000  0.000
Pd  0.667  0.333  0.500

Top 12 peaks for 15 to 90 degrees two-theta, low angle first:
- 2θ = 27.82°, d 3.207, I = 26
- 2θ = 32.49°, d 2.756, I = 100
- 2θ = 33.28°, d 2.692, I = 21
- 2θ = 43.91°, d 2.062, I = 15
- 2θ = 49.20°, d 1.852, I = 20
- 2θ = 58.97°, d 1.566, I = 18
- 2θ = 60.21°, d 1.537, I = 17
- 2θ = 60.70°, d 1.526, I = 22
- 2θ = 68.05°, d 1.378, I = 4
- 2θ = 80.28°, d 1.196, I = 7
- 2θ = 81.36°, d 1.183, I = 14
- 2θ = 88.44°, d 1.105, I = 4


Cs2PdPt2S4: theoretical powder diffractogram (CuKα), based on DFT lattice parameters and positions (GGA-PBE).
Neutral-atom scattering factors, no anomalous dispersion.

Structure:
a b c (Å): 8.896 7.792 6.329
angles (deg): 77.33 58.71 43.96
Atoms (fractional coordinates):
Cs  0.157  0.157  0.843
Cs  0.843  0.843  0.157
Pd  0.500  0.500  0.500
Pt  0.000  0.000  0.500
Pt  0.500  0.500  0.000
S  0.223  0.567  0.433
S  0.433  0.777  0.223
S  0.567  0.223  0.777
S  0.777  0.433  0.567

Top 12 peaks for 15 to 90 degrees two-theta, low angle first:
- 2θ = 20.69°, d 4.294, I = 99
- 2θ = 24.66°, d 3.610, I = 97
- 2θ = 29.97°, d 2.982, I = 30
- 2θ = 30.23°, d 2.957, I = 38
- 2θ = 31.84°, d 2.810, I = 100
- 2θ = 33.13°, d 2.704, I = 48
- 2θ = 34.16°, d 2.625, I = 63
- 2θ = 34.34°, d 2.611, I = 50
- 2θ = 37.36°, d 2.407, I = 46
- 2θ = 41.05°, d 2.199, I = 31
- 2θ = 50.58°, d 1.805, I = 73
- 2θ = 51.47°, d 1.776, I = 33


CsRbPd3: theoretical powder diffractogram (CuKα), based on DFT lattice parameters and positions (GGA-PBE).
Neutral-atom scattering factors, no anomalous dispersion.

Structure:
a b c (Å): 4.632 5.366 11.132
angles (deg): 90.00 90.00 90.00
Atoms (fractional coordinates):
Cs  0.000  0.000  0.000
Cs  0.500  0.500  0.500
Rb  0.000  0.000  0.397
Rb  0.500  0.500  0.897
Pd  0.000  0.250  0.699
Pd  0.000  0.500  0.202
Pd  0.000  0.750  0.699
Pd  0.500  0.000  0.702
Pd  0.500  0.250  0.199
Pd  0.500  0.750  0.199

Top 12 peaks for 15 to 90 degrees two-theta, low angle first:
- 2θ = 15.92°, d 5.566, I = 36
- 2θ = 29.26°, d 3.052, I = 56
- 2θ = 30.12°, d 2.967, I = 100
- 2θ = 30.88°, d 2.896, I = 49
- 2θ = 32.16°, d 2.783, I = 40
- 2θ = 37.20°, d 2.417, I = 28
- 2θ = 38.88°, d 2.316, I = 46
- 2θ = 39.65°, d 2.273, I = 93
- 2θ = 49.39°, d 1.845, I = 26
- 2θ = 51.32°, d 1.780, I = 21
- 2θ = 57.34°, d 1.607, I = 58
- 2θ = 84.46°, d 1.147, I = 19


CsPdSeS: theoretical powder diffractogram (CuKα), based on DFT lattice parameters and positions (GGA-PBE).
Neutral-atom scattering factors, no anomalous dispersion.

Structure:
a b c (Å): 4.035 4.035 14.910
angles (deg): 90.00 90.00 120.00
Atoms (fractional coordinates):
Cs  0.000  0.000  0.000
Cs  0.333  0.667  0.500
Pd  0.667  0.333  0.259
Pd  0.667  0.333  0.741
Se  0.333  0.667  0.181
Se  0.333  0.667  0.819
S  0.000  0.000  0.329
S  0.000  0.000  0.671

Top 12 peaks for 15 to 90 degrees two-theta, low angle first:
- 2θ = 23.87°, d 3.727, I = 32
- 2θ = 26.19°, d 3.402, I = 18
- 2θ = 28.20°, d 3.164, I = 58
- 2θ = 31.29°, d 2.858, I = 100
- 2θ = 44.75°, d 2.025, I = 40
- 2θ = 44.93°, d 2.017, I = 49
- 2θ = 51.51°, d 1.774, I = 24
- 2θ = 55.77°, d 1.648, I = 19
- 2θ = 61.99°, d 1.497, I = 11
- 2θ = 65.28°, d 1.429, I = 13
- 2θ = 74.31°, d 1.276, I = 16
- 2θ = 82.76°, d 1.166, I = 13


Cs2Sn2Pd3S8: theoretical powder diffractogram (CuKα), based on DFT lattice parameters and positions (GGA-PBE).
Neutral-atom scattering factors, no anomalous dispersion.

Structure:
a b c (Å): 6.229 8.833 8.928
angles (deg): 97.80 105.42 106.79
Atoms (fractional coordinates):
Cs  0.089  0.004  0.259
Cs  0.911  0.996  0.741
Sn  0.374  0.616  0.277
Sn  0.626  0.384  0.723
Pd  0.000  0.500  0.500
Pd  0.318  0.553  0.908
Pd  0.682  0.447  0.092
S  0.018  0.379  0.245
S  0.209  0.359  0.671
S  0.337  0.736  0.529
S  0.422  0.795  0.100
S  0.578  0.205  0.900
S  0.663  0.264  0.471
S  0.791  0.641  0.329
S  0.982  0.621  0.755

Top 12 peaks for 15 to 90 degrees two-theta, low angle first:
- 2θ = 20.78°, d 4.274, I = 46
- 2θ = 21.61°, d 4.112, I = 54
- 2θ = 21.96°, d 4.048, I = 100
- 2θ = 26.65°, d 3.345, I = 25
- 2θ = 28.56°, d 3.126, I = 25
- 2θ = 29.76°, d 3.002, I = 22
- 2θ = 30.82°, d 2.901, I = 26
- 2θ = 34.73°, d 2.583, I = 22
- 2θ = 35.22°, d 2.548, I = 21
- 2θ = 35.75°, d 2.512, I = 22
- 2θ = 39.14°, d 2.302, I = 40
- 2θ = 43.40°, d 2.085, I = 25


CsTaPdS5: theoretical powder diffractogram (CuKα), based on DFT lattice parameters and positions (GGA-PBE).
Neutral-atom scattering factors, no anomalous dispersion.

Structure:
a b c (Å): 7.128 8.078 9.197
angles (deg): 64.21 75.90 80.36
Atoms (fractional coordinates):
Cs  0.160  0.335  0.318
Cs  0.840  0.665  0.682
Ta  0.250  0.965  0.015
Ta  0.750  0.035  0.985
Pd  0.446  0.690  0.326
Pd  0.554  0.310  0.674
S  0.056  0.796  0.974
S  0.172  0.909  0.299
S  0.302  0.131  0.720
S  0.359  0.586  0.610
S  0.458  0.234  0.966
S  0.542  0.766  0.034
S  0.641  0.414  0.390
S  0.698  0.869  0.280
S  0.828  0.091  0.701
S  0.944  0.204  0.026

Top 12 peaks for 15 to 90 degrees two-theta, low angle first:
- 2θ = 18.40°, d 4.822, I = 43
- 2θ = 19.47°, d 4.558, I = 64
- 2θ = 20.02°, d 4.434, I = 76
- 2θ = 20.17°, d 4.402, I = 54
- 2θ = 22.34°, d 3.979, I = 73
- 2θ = 23.82°, d 3.735, I = 37
- 2θ = 26.05°, d 3.420, I = 41
- 2θ = 27.85°, d 3.203, I = 55
- 2θ = 31.28°, d 2.860, I = 81
- 2θ = 31.52°, d 2.838, I = 49
- 2θ = 33.07°, d 2.709, I = 100
- 2θ = 37.21°, d 2.417, I = 90


Cs2UPd3S6: theoretical powder diffractogram (CuKα), based on DFT lattice parameters and positions (GGA-PBE).
Neutral-atom scattering factors, no anomalous dispersion.

Structure:
a b c (Å): 11.480 9.820 9.141
angles (deg): 74.43 55.49 50.09
Atoms (fractional coordinates):
Cs  0.203  0.797  0.203
Cs  0.250  0.250  0.250
Cs  0.750  0.750  0.750
Cs  0.797  0.203  0.797
U  0.333  0.333  0.667
U  0.667  0.667  0.333
Pd  0.004  0.677  0.996
Pd  0.323  0.996  0.677
Pd  0.327  0.673  0.673
Pd  0.673  0.327  0.327
Pd  0.677  0.004  0.323
Pd  0.996  0.323  0.004
S  0.101  0.307  0.693
S  0.106  0.690  0.684
S  0.307  0.101  0.899
S  0.310  0.894  0.480
S  0.316  0.480  0.894
S  0.480  0.316  0.310
S  0.520  0.684  0.690
S  0.684  0.520  0.106
S  0.690  0.106  0.520
S  0.693  0.899  0.101
S  0.894  0.310  0.316
S  0.899  0.693  0.307

Top 12 peaks for 15 to 90 degrees two-theta, low angle first:
- 2θ = 20.18°, d 4.399, I = 23
- 2θ = 23.07°, d 3.856, I = 35
- 2θ = 23.90°, d 3.723, I = 100
- 2θ = 32.11°, d 2.788, I = 52
- 2θ = 32.86°, d 2.725, I = 28
- 2θ = 33.68°, d 2.661, I = 26
- 2θ = 36.19°, d 2.482, I = 34
- 2θ = 36.60°, d 2.455, I = 17
- 2θ = 43.36°, d 2.087, I = 51
- 2θ = 47.76°, d 1.904, I = 19
- 2θ = 56.55°, d 1.628, I = 18
- 2θ = 70.83°, d 1.330, I = 18


Cs2PdSe8: theoretical powder diffractogram (CuKα), based on DFT lattice parameters and positions (GGA-PBE).
Neutral-atom scattering factors, no anomalous dispersion.

Structure:
a b c (Å): 12.694 12.694 12.694
angles (deg): 105.91 105.91 116.85
Atoms (fractional coordinates):
Cs  0.009  0.259  0.518
Cs  0.241  0.491  0.982
Cs  0.259  0.241  0.250
Cs  0.491  0.009  0.250
Cs  0.509  0.991  0.750
Cs  0.741  0.759  0.750
Cs  0.759  0.509  0.018
Cs  0.991  0.741  0.482
Pd  0.125  0.875  0.250
Pd  0.375  0.625  0.750
Pd  0.625  0.375  0.250
Pd  0.875  0.125  0.750
Se  0.025  0.146  0.938
Se  0.065  0.665  0.911
Se  0.087  0.025  0.379
Se  0.146  0.708  0.121
Se  0.154  0.065  0.900
Se  0.165  0.565  0.411
Se  0.208  0.646  0.621
Se  0.246  0.835  0.900
Se  0.254  0.154  0.589
Se  0.292  0.913  0.438
Se  0.335  0.746  0.400
Se  0.346  0.246  0.911
Se  0.354  0.475  0.562
Se  0.413  0.792  0.938
Se  0.435  0.346  0.600
Se  0.475  0.413  0.121
Se  0.525  0.587  0.879
Se  0.565  0.654  0.400
Se  0.587  0.208  0.062
Se  0.646  0.525  0.438
Se  0.654  0.754  0.089
Se  0.665  0.254  0.600
Se  0.708  0.087  0.562
Se  0.746  0.846  0.411
Se  0.754  0.165  0.100
Se  0.792  0.354  0.379
Se  0.835  0.435  0.589
Se  0.846  0.935  0.100
Se  0.854  0.292  0.879
Se  0.913  0.975  0.621
Se  0.935  0.335  0.089
Se  0.975  0.854  0.062

Top 12 peaks for 15 to 90 degrees two-theta, low angle first:
- 2θ = 15.65°, d 5.663, I = 35
- 2θ = 22.00°, d 4.041, I = 79
- 2θ = 22.74°, d 3.911, I = 22
- 2θ = 23.93°, d 3.719, I = 21
- 2θ = 26.83°, d 3.323, I = 100
- 2θ = 28.16°, d 3.169, I = 23
- 2θ = 29.98°, d 2.981, I = 21
- 2θ = 32.23°, d 2.777, I = 63
- 2θ = 32.76°, d 2.734, I = 83
- 2θ = 37.62°, d 2.391, I = 18
- 2θ = 46.81°, d 1.941, I = 26
- 2θ = 51.26°, d 1.782, I = 21